No. 1
Computed powder diffraction line list
Compound: Li2La2Si3
Radiation: CuKα
Structure: DFT lattice parameters and positions (GGA-PBE)
Kinematic intensities with the Lorentz-polarization factor, no thermal factor.

Principal peaks in the range 10 to 90 degrees two-theta, by angle:
- 2θ = 20.26°, I 40.1
- 2θ = 22.88°, I 47.1
- 2θ = 25.77°, I 35.3
- 2θ = 27.58°, I 16.3
- 2θ = 31.34°, I 17.6
- 2θ = 33.00°, I 63.8
- 2θ = 33.64°, I 100.0
- 2θ = 40.00°, I 21.8
- 2θ = 43.75°, I 19.8
- 2θ = 46.58°, I 14.9
- 2θ = 50.68°, I 16.4
- 2θ = 55.27°, I 17.9

Crystal structure
```
14
Lattice="2.2540 -9.4007 0.0000 2.2540 9.4007 0.0000 0.0000 0.0000 6.9132" Properties=species:S:1:pos:R:3 pbc="T T T"
Li 2.2540 5.8790 3.8778
Li 2.2540 5.8790 6.4920
Li 2.2540 -5.8790 0.4212
Li 2.2540 -5.8790 3.0354
La 2.2540 3.0013 5.1849
La 2.2540 0.9852 1.7283
La 2.2540 -0.9852 5.1849
La 2.2540 -3.0013 1.7283
Si 2.2540 8.3303 0.5280
Si 2.2540 8.3303 2.9286
Si 2.2540 4.1319 1.7283
Si 2.2540 -4.1319 5.1849
Si 2.2540 -8.3303 3.9846
Si 2.2540 -8.3303 6.3852
```

---

No. 2
Computed powder diffraction line list
Compound: Li2LaTl
Radiation: CuKα
Structure: DFT lattice parameters and positions (GGA-PBE)
Kinematic intensities with the Lorentz-polarization factor, no thermal factor.

Principal peaks in the range 10 to 90 degrees two-theta, by angle:
- 2θ = 21.58°, I 6.6
- 2θ = 24.97°, I 100.0
- 2θ = 35.61°, I 90.8
- 2θ = 42.02°, I 3.9
- 2θ = 43.99°, I 29.9
- 2θ = 51.24°, I 16.3
- 2θ = 56.23°, I 1.7
- 2θ = 57.82°, I 40.2
- 2θ = 63.96°, I 33.5
- 2θ = 75.40°, I 10.4
- 2θ = 80.88°, I 19.4
- 2θ = 86.27°, I 15.0

Crystal structure
```
4
Lattice="0.0000 3.5656 3.5656 3.5656 0.0000 3.5656 3.5656 3.5656 0.0000" Properties=species:S:1:pos:R:3 pbc="T T T"
Li 1.7828 1.7828 1.7828
Li 5.3484 5.3484 5.3484
La 0.0000 0.0000 0.0000
Tl 3.5656 3.5656 3.5656
```

---

No. 3
Computed powder diffraction line list
Compound: LiLaTl2
Radiation: CuKα
Structure: DFT lattice parameters and positions (GGA-PBE)
Kinematic intensities with the Lorentz-polarization factor, no thermal factor.

Principal peaks in the range 10 to 90 degrees two-theta, by angle:
- 2θ = 20.23°, I 13.9
- 2θ = 23.40°, I 27.0
- 2θ = 33.34°, I 100.0
- 2θ = 39.31°, I 7.6
- 2θ = 41.13°, I 8.6
- 2θ = 47.86°, I 18.4
- 2θ = 53.94°, I 12.0
- 2θ = 59.58°, I 38.5
- 2θ = 70.01°, I 11.9
- 2θ = 74.95°, I 5.8
- 2θ = 79.79°, I 16.8
- 2θ = 89.27°, I 4.4

Crystal structure
```
4
Lattice="0.0000 3.8011 3.8011 3.8011 0.0000 3.8011 3.8011 3.8011 0.0000" Properties=species:S:1:pos:R:3 pbc="T T T"
Li 0.0000 0.0000 0.0000
La 3.8011 3.8011 3.8011
Tl 1.9006 1.9006 1.9006
Tl 5.7017 5.7017 5.7017
```

---

No. 4
Computed powder diffraction line list
Compound: LaLuMg2
Radiation: CuKα
Structure: DFT lattice parameters and positions (GGA-PBE)
Kinematic intensities with the Lorentz-polarization factor, no thermal factor.

Principal peaks in the range 10 to 90 degrees two-theta, by angle:
- 2θ = 19.96°, I 2.2
- 2θ = 23.08°, I 61.8
- 2θ = 32.87°, I 100.0
- 2θ = 40.55°, I 19.2
- 2θ = 47.17°, I 18.2
- 2θ = 53.15°, I 26.6
- 2θ = 58.69°, I 37.8
- 2θ = 68.93°, I 11.6
- 2θ = 73.77°, I 12.7
- 2θ = 78.49°, I 16.1
- 2θ = 83.14°, I 7.6
- 2θ = 87.74°, I 4.1

Crystal structure
```
4
Lattice="0.0000 3.8533 3.8533 3.8533 0.0000 3.8533 3.8533 3.8533 0.0000" Properties=species:S:1:pos:R:3 pbc="T T T"
La 0.0000 0.0000 0.0000
Lu 3.8533 3.8533 3.8533
Mg 1.9267 1.9267 1.9267
Mg 5.7800 5.7800 5.7800
```